No. 1
In3SbTe2: simulated PXRD pattern (CuKα), based on the GGA-PBE geometry in Alexandria.

Structure:
```
In3SbTe2
1.0
4.384 0.000 0.000
0.000 4.384 0.000
0.000 0.000 18.772
In Sb Te
6 2 4
Cartesian
1.096 1.096 1.645
1.096 1.096 7.737
1.096 1.096 14.079
3.288 3.288 4.693
3.288 3.288 11.035
3.288 3.288 17.127
1.096 1.096 4.690
3.288 3.288 14.082
1.096 1.096 10.884
1.096 1.096 17.276
3.288 3.288 1.496
3.288 3.288 7.888
```

The 10 most intense peaks (2θ from 10° to 80°), sorted by position:
hkl, two_theta, intensity
0 0 6, 28.5, 50
1 1 0, 28.8, 100
1 1 6, 41.0, 75
2 0 0, 41.2, 38
2 0 6, 50.9, 40
2 2 0, 59.7, 12
1 1 12, 67.0, 16
2 2 6, 67.4, 17
3 1 0, 67.6, 17
3 1 6, 74.9, 25



No. 2
Ag2Sn2Ru: simulated PXRD pattern (CuKα), based on the GGA-PBE geometry in Alexandria.

Structure:
```
Ag2Sn2Ru
1.0
7.158 0.000 0.000
0.000 7.158 0.000
0.000 0.000 4.008
Ag Sn Ru
4 4 2
Cartesian
1.033 2.546 0.000
2.546 6.125 0.000
4.612 1.033 0.000
6.125 4.612 0.000
1.145 4.724 2.004
2.434 1.145 2.004
4.724 6.013 2.004
6.013 2.434 2.004
0.000 0.000 2.004
3.579 3.579 2.004
```

The 10 most intense peaks (2θ from 10° to 80°), sorted by position:
hkl, two_theta, intensity
1 1 1, 28.4, 10
2 1 1, 35.9, 100
3 1 0, 39.8, 38
0 0 2, 45.2, 17
3 3 0, 54.4, 6
4 1 1, 57.9, 11
3 1 2, 61.8, 20
3 3 2, 73.3, 6
5 2 1, 75.3, 16
2 1 3, 77.4, 11



No. 3
Na2HC2O4: simulated PXRD pattern (CuKα), based on the GGA-PBE geometry in Alexandria.

Structure:
```
Na2HC2O4
1.0
8.237 0.000 0.000
0.000 8.264 0.000
0.000 0.000 3.389
Na H C O
4 2 4 8
Cartesian
1.730 1.998 0.365
2.389 6.130 3.024
5.848 2.134 3.024
6.507 6.266 0.365
0.000 4.132 0.796
4.119 0.000 2.593
0.500 7.679 1.653
3.619 3.547 1.736
4.618 4.717 1.736
7.737 0.585 1.653
0.092 6.574 2.139
1.660 7.897 1.181
2.459 3.765 2.208
4.027 2.442 1.250
4.210 5.822 1.250
5.778 4.499 2.208
6.577 0.367 1.181
8.145 1.690 2.139
```

The 10 most intense peaks (2θ from 10° to 80°), sorted by position:
hkl, two_theta, intensity
1 1 0, 15.2, 100
0 2 0, 21.5, 16
1 2 0, 24.1, 10
1 1 1, 30.5, 32
2 0 1, 34.2, 42
2 1 1, 36.0, 36
2 3 0, 39.4, 12
2 2 1, 40.8, 29
3 0 1, 42.4, 20
0 4 0, 43.8, 29



Q: What is the formula in the first record?
A: In3SbTe2